1.
The following is a calculated PXRD pattern of HoMgMn2O6. It was derived from a crystal structure in the Materials Project, relaxed with GGA+U, using CuKα.

Structural model:
```
data_HoMgMn2O6
_chemical_formula_sum 'Ho2 Mg2 Mn4 O12'
_cell_length_a 7.5203
_cell_length_b 5.4423
_cell_length_c 5.1729
_cell_angle_alpha 90.00
_cell_angle_beta 90.00
_cell_angle_gamma 90.00
_space_group_name_H-M_alt 'P 1'
_space_group_IT_number 1
loop_
_space_group_symop_operation_xyz
'x,y,z'
loop_
_atom_site_label
_atom_site_fract_x
_atom_site_fract_y
_atom_site_fract_z
Ho1 0.0000 0.1821 0.0000
Ho2 0.5000 0.8179 0.5000
Mg1 0.0000 0.6874 0.4648
Mg2 0.5000 0.3126 0.9648
Mn1 0.2492 0.7441 0.9819
Mn2 0.2508 0.2559 0.4819
Mn3 0.7492 0.2559 0.4819
Mn4 0.7508 0.7441 0.9819
O1 0.0000 0.3060 0.5882
O2 0.0000 0.7866 0.8530
O3 0.1890 0.4511 0.1816
O4 0.1886 0.9400 0.2931
O5 0.3114 0.0600 0.7931
O6 0.3110 0.5489 0.6816
O7 0.5000 0.2134 0.3530
O8 0.5000 0.6940 0.0882
O9 0.6886 0.0600 0.7931
O10 0.6890 0.5489 0.6816
O11 0.8110 0.4511 0.1816
O12 0.8114 0.9400 0.2931
```

The 8 most intense peaks (2θ = 10–80°), low angle first:
d [Å]  2theta  intensity  index
4.409  20.14  410  1 1 0
4.262  20.84  469  1 0 1
2.721  32.92  188  0 2 0
2.655  33.76  1000  2 1 1
2.586  34.68  223  0 0 2
2.231  40.43  198  1 1 2
1.875  48.56  199  0 2 2
1.506  61.57  237  2 1 3

***

2.
The following is a calculated PXRD pattern of Li3Mn2Si2O8. It was derived from a crystal structure in the Materials Project, relaxed with GGA+U, using CuKα.

Structural model:
```
data_Li3Mn2Si2O8
_chemical_formula_sum 'Li3 Mn2 Si2 O8'
_cell_length_a 4.8827
_cell_length_b 5.4326
_cell_length_c 6.7159
_cell_angle_alpha 88.75
_cell_angle_beta 89.58
_cell_angle_gamma 88.93
_space_group_name_H-M_alt 'P 1'
_space_group_IT_number 1
loop_
_space_group_symop_operation_xyz
'x,y,z'
loop_
_atom_site_label
_atom_site_fract_x
_atom_site_fract_y
_atom_site_fract_z
Li1 0.0000 0.0000 0.0000
Li2 0.0058 0.5342 0.7415
Li3 0.5000 0.3763 0.5051
Mn1 0.0030 0.0123 0.4792
Mn2 0.5136 0.3583 0.0060
Si1 0.4954 0.8668 0.7453
Si2 0.9856 0.5171 0.2523
O1 0.0614 0.8078 0.2411
O2 0.0994 0.3744 0.0466
O3 0.0985 0.3827 0.4613
O4 0.1558 0.8728 0.7425
O5 0.5998 0.5747 0.7527
O6 0.6017 0.0141 0.5419
O7 0.6027 0.0152 0.9378
O8 0.6525 0.4785 0.2546
```

The 8 most intense peaks (2θ = 10–80°), low angle first:
d [Å]  2theta  intensity  index
4.268  20.81  904  0 1 1
4.178  21.27  747  0 1 -1
3.961  22.44  838  1 0 1
3.935  22.59  1000  1 0 -1
2.884  31.01  376  0 1 2
2.828  31.64  542  0 1 -2
2.715  32.99  573  0 2 0
2.441  36.82  975  2 0 0